1.
For Li3VS4, DFT lattice parameters and positions (GGA-PBE) gives the computed X-ray powder pattern in this record (copper Kα).
Intensities are scaled so that the largest is 100.

Principal peaks in the range 2θ from 10° to 80°, in order of rising 2θ:
h k l	2θ/deg	I_rel
1 0 0	13.1	100
0 1 1	14.3	50
1 0 -2	14.8	90
1 1 0	18.1	66
0 1 2	18.8	93
1 1 1	21.3	79
0 2 1	26.1	84
2 0 0	26.3	78
2 0 -4	29.9	79
1 2 3	38.8	62

Atomic structure:
```
data_Li3VS4
_cell_length_a 7.3942
_cell_length_b 7.0883
_cell_length_c 13.8674
_cell_angle_alpha 90.00
_cell_angle_beta 113.72
_cell_angle_gamma 90.00
_symmetry_space_group_name_H-M 'P 1 21/c 1'
_symmetry_Int_Tables_number 14
_symmetry_space_group_name_Hall '-P 2ybc'
loop_
_atom_site_label
_atom_site_fract_x
_atom_site_fract_y
_atom_site_fract_z
Li1 0.0254 0.0664 0.3521
Li2 0.1936 0.5841 0.6125
Li3 0.4538 0.1686 0.5601
V1 0.1576 0.6486 0.3811
S1 0.1446 0.1973 0.2132
S2 0.1774 0.1272 0.9549
S3 0.2726 0.6370 0.0044
S4 0.3158 0.6688 0.2803
```



2.
For Li2V3S6, DFT lattice parameters and positions (GGA-PBE) gives the computed X-ray powder pattern in this record (copper Kα).
Intensities are scaled so that the largest is 100.

Principal peaks in the range 2θ from 10° to 80°, in order of rising 2θ:
h k l	2θ/deg	I_rel
0 0 2	11.9	100
1 1 0	32.0	11
1 1 1	32.6	19
1 1 3	36.9	13
1 1 4	40.3	27
1 1 5	44.4	7
1 1 6	49.0	20
3 0 0	57.0	12
3 0 2	58.5	7
2 2 6	78.4	5

Atomic structure:
```
data_Li2V3S6
_cell_length_a 5.5959
_cell_length_b 5.5959
_cell_length_c 14.9135
_cell_angle_alpha 90.00
_cell_angle_beta 90.00
_cell_angle_gamma 120.00
_symmetry_space_group_name_H-M 'P 63/m c m'
_symmetry_Int_Tables_number 193
_symmetry_space_group_name_Hall '-P 6c 2'
loop_
_atom_site_label
_atom_site_fract_x
_atom_site_fract_y
_atom_site_fract_z
Li1 0.3333 0.6667 0.0000
V1 0.0000 0.3256 0.2500
S1 0.0000 0.0000 0.1498
S2 0.3333 0.6667 0.1537
```



Repeat the first record exactly.
For Li3VS4, DFT lattice parameters and positions (GGA-PBE) gives the computed X-ray powder pattern in this record (copper Kα).
Intensities are scaled so that the largest is 100.

Principal peaks in the range 2θ from 10° to 80°, in order of rising 2θ:
h k l	2θ/deg	I_rel
1 0 0	13.1	100
0 1 1	14.3	50
1 0 -2	14.8	90
1 1 0	18.1	66
0 1 2	18.8	93
1 1 1	21.3	79
0 2 1	26.1	84
2 0 0	26.3	78
2 0 -4	29.9	79
1 2 3	38.8	62

Atomic structure:
```
data_Li3VS4
_cell_length_a 7.3942
_cell_length_b 7.0883
_cell_length_c 13.8674
_cell_angle_alpha 90.00
_cell_angle_beta 113.72
_cell_angle_gamma 90.00
_symmetry_space_group_name_H-M 'P 1 21/c 1'
_symmetry_Int_Tables_number 14
_symmetry_space_group_name_Hall '-P 2ybc'
loop_
_atom_site_label
_atom_site_fract_x
_atom_site_fract_y
_atom_site_fract_z
Li1 0.0254 0.0664 0.3521
Li2 0.1936 0.5841 0.6125
Li3 0.4538 0.1686 0.5601
V1 0.1576 0.6486 0.3811
S1 0.1446 0.1973 0.2132
S2 0.1774 0.1272 0.9549
S3 0.2726 0.6370 0.0044
S4 0.3158 0.6688 0.2803
```



Number 1 is which compound? Li3VS4